No. 1
The following is a simulated X-ray powder pattern of SrAsPt. It was derived from the PBE geometry in the Materials Project, using CuKα.
Kinematic intensities with the Lorentz-polarization factor, no thermal factor.

Structure:
Cell: 4.3016 4.3016 9.0991 Å, 90.00 90.00 120.00°
Space group P6_3/mmc (No. 194)
One atom of each set of equivalent atoms:
Sr: 0.0000 0.0000 0.0000 [2 per cell]
As: 0.3333 0.6667 0.2500 [2 per cell]
Pt: 0.3333 0.6667 0.7500 [2 per cell]

Largest 10 diffraction maxima, sorted by position, 2θ = 5–70°:
2θ/deg  I_rel
19.51  34
25.84  30
31.03  100
38.27  11
39.62  22
42.01  56
46.72  23
53.13  22
59.11  41
69.94  19

=====

No. 2
The following is a simulated X-ray powder pattern of SrAs2Pt2. It was derived from the PBE geometry in the Materials Project, using CuKα.
Kinematic intensities with the Lorentz-polarization factor, no thermal factor.

Structure:
Cell: 4.5432 4.5432 9.9944 Å, 90.00 90.00 90.00°
Space group P4/nmm (No. 129, origin choice 2)
One atom of each set of equivalent atoms:
Sr: 0.2500 0.2500 0.2481 [2 per cell]
As: 0.2500 0.2500 0.6285 [2 per cell]
As: 0.2500 0.7500 0.0000 [2 per cell]
Pt: 0.2500 0.2500 0.8816 [2 per cell]
Pt: 0.2500 0.7500 0.5000 [2 per cell]

Largest 10 diffraction maxima, sorted by position, 2θ = 5–70°:
2θ/deg  I_rel
17.75  36
21.48  23
29.20  47
33.15  99
33.35  69
39.68  100
46.02  67
52.77  38
57.36  34
67.88  25

=====

No. 3
The following is a simulated X-ray powder pattern of TmAsPt. It was derived from the PBE geometry in the Materials Project, using CuKα.
Kinematic intensities with the Lorentz-polarization factor, no thermal factor.

Structure:
Cell: 4.2598 4.2598 15.3363 Å, 90.00 90.00 120.00°
Space group P6_3/mmc (No. 194)
One atom of each set of equivalent atoms:
Tm: 0.0000 0.0000 0.0000 [2 per cell]
Tm: 0.0000 0.0000 0.2500 [2 per cell]
As: 0.3333 0.6667 0.1151 [4 per cell]
Pt: 0.3333 0.6667 0.6357 [4 per cell]

Largest 10 diffraction maxima, sorted by position, 2θ = 5–70°:
2θ/deg  I_rel
23.20  4
24.82  16
33.72  100
38.16  11
42.44  57
47.42  12
55.26  25
58.38  3
59.78  5
65.51  27

=====

No. 4
The following is a simulated X-ray powder pattern of YAsPt. It was derived from the PBE geometry in the Materials Project, using CuKα.
Kinematic intensities with the Lorentz-polarization factor, no thermal factor.

Structure:
Cell: 4.3068 4.3068 15.3610 Å, 90.00 90.00 120.00°
Space group P6_3/mmc (No. 194)
One atom of each set of equivalent atoms:
Y: 0.0000 0.0000 0.0000 [2 per cell]
Y: 0.0000 0.0000 0.2500 [2 per cell]
As: 0.3333 0.6667 0.1166 [4 per cell]
Pt: 0.3333 0.6667 0.6350 [4 per cell]

Largest 10 diffraction maxima, sorted by position, 2θ = 5–70°:
2θ/deg  I_rel
23.16  25
24.56  28
33.49  100
37.94  19
41.95  71
47.34  14
48.47  22
54.72  24
59.57  8
65.08  32

=====

No. 5
The following is a simulated X-ray powder pattern of ZnAsPt5. It was derived from the PBE geometry in the Materials Project, using CuKα.
Kinematic intensities with the Lorentz-polarization factor, no thermal factor.

Structure:
Cell: 3.9707 3.9707 7.1659 Å, 90.00 90.00 90.00°
Space group P4/mmm (No. 123)
One atom of each set of equivalent atoms:
Zn: 0.0000 0.0000 0.0000 [1 per cell]
As: 0.5000 0.5000 0.5000 [1 per cell]
Pt: 0.0000 0.5000 0.2782 [4 per cell]
Pt: 0.5000 0.5000 0.0000 [1 per cell]

Largest 10 diffraction maxima, sorted by position, 2θ = 5–70°:
2θ/deg  I_rel
22.39  8
24.85  11
31.87  16
34.30  15
37.66  9
40.83  100
45.70  40
50.98  10
60.65  9
66.62  13

=====

No. 6
The following is a simulated X-ray powder pattern of PuAs3. It was derived from the PBE geometry in the Materials Project, using CuKα.
Kinematic intensities with the Lorentz-polarization factor, no thermal factor.

Structure:
Cell: 4.2980 4.2980 4.2980 Å, 90.00 90.00 90.00°
Space group Pm-3m (No. 221)
One atom of each set of equivalent atoms:
Pu: 0.0000 0.0000 0.0000 [1 per cell]
As: 0.0000 0.5000 0.5000 [3 per cell]

Largest 9 diffraction maxima, sorted by position, 2θ = 5–70°:
2θ/deg  I_rel
20.67  33
29.39  29
36.20  100
42.04  50
47.29  16
52.13  13
60.97  33
65.11  8
69.11  6

=====

No. 7
The following is a simulated X-ray powder pattern of Rb2As3. It was derived from the PBE geometry in the Materials Project, using CuKα.
Kinematic intensities with the Lorentz-polarization factor, no thermal factor.

Structure:
Cell: 9.3239 10.3064 15.5508 Å, 90.00 90.00 90.00°
Space group Fmmm (No. 69)
One atom of each set of equivalent atoms:
Rb: 0.0000 0.2384 0.0000 [8 per cell]
Rb: 0.2500 0.2500 0.2500 [8 per cell]
As: 0.0000 0.0000 0.3434 [8 per cell]
As: 0.2251 0.0000 0.4221 [16 per cell]

Largest 10 diffraction maxima, sorted by position, 2θ = 5–70°:
2θ/deg  I_rel
14.02  20
21.42  15
28.25  100
28.77  44
34.81  31
38.63  17
39.79  34
48.86  18
52.97  14
53.89  27

=====

No. 8
The following is a simulated X-ray powder pattern of Rb3As11. It was derived from the PBE geometry in the Materials Project, using CuKα.
Kinematic intensities with the Lorentz-polarization factor, no thermal factor.

Structure:
Cell: 11.6756 15.4186 11.1669 Å, 90.00 90.00 90.00°
Space group Pbcn (No. 60)
One atom of each set of equivalent atoms:
Rb: 0.0000 0.2062 0.2500 [4 per cell]
Rb: 0.2311 0.4836 0.0897 [8 per cell]
As: 0.0000 0.0317 0.7500 [4 per cell]
As: 0.0373 0.3538 0.4967 [8 per cell]
As: 0.0675 0.1357 0.8975 [8 per cell]
As: 0.0770 0.3835 0.8269 [8 per cell]
As: 0.1132 0.2171 0.5682 [8 per cell]
As: 0.1792 0.2449 0.7787 [8 per cell]

Largest 10 diffraction maxima, sorted by position, 2θ = 5–70°:
2θ/deg  I_rel
11.48  26
12.38  100
15.18  28
24.91  53
25.78  21
27.73  44
29.03  29
29.17  26
29.91  50
33.00  22

=====

No. 9
The following is a simulated X-ray powder pattern of Rb3As. It was derived from the PBE geometry in the Materials Project, using CuKα.
Kinematic intensities with the Lorentz-polarization factor, no thermal factor.

Structure:
Cell: 6.1826 6.1826 10.8914 Å, 90.00 90.00 120.00°
Space group P6_3/mmc (No. 194)
One atom of each set of equivalent atoms:
Rb: 0.0000 0.0000 0.2500 [2 per cell]
Rb: 0.3333 0.6667 0.0783 [4 per cell]
As: 0.3333 0.6667 0.7500 [2 per cell]

Largest 10 diffraction maxima, sorted by position, 2θ = 5–70°:
2θ/deg  I_rel
23.30  28
28.88  100
29.73  76
37.43  8
41.93  29
51.18  20
51.71  31
59.01  25
59.84  12
68.23  14

=====

No. 10
The following is a simulated X-ray powder pattern of Rb3Ta2AsS11. It was derived from the PBE geometry in the Materials Project, using CuKα.
Kinematic intensities with the Lorentz-polarization factor, no thermal factor.

Structure:
Cell: 14.8028 13.2597 9.7947 Å, 90.00 98.61 90.00°
Space group Cc (No. 9)
One atom of each set of equivalent atoms:
Rb: 0.0000 0.0662 0.0000 [4 per cell]
Rb: 0.2500 0.4227 0.8299 [4 per cell]
Rb: 0.3807 0.0810 0.7429 [4 per cell]
Ta: 0.1131 0.2086 0.4083 [4 per cell]
Ta: 0.2986 0.2699 0.2232 [4 per cell]
As: 0.0314 0.3415 0.6665 [4 per cell]
S: 0.0954 0.3924 0.4769 [4 per cell]
S: 0.0973 0.1883 0.6567 [4 per cell]
S: 0.1352 0.3297 0.2004 [4 per cell]
S: 0.1695 0.2499 0.0319 [4 per cell]
S: 0.1934 0.0993 0.2612 [4 per cell]
S: 0.1981 0.0500 0.4630 [4 per cell]
S: 0.2943 0.2914 0.4736 [4 per cell]
S: 0.3644 0.4143 0.1711 [4 per cell]
S: 0.3802 0.1595 0.0739 [4 per cell]
S: 0.3988 0.1984 0.4229 [4 per cell]
S: 0.4697 0.3323 0.8207 [4 per cell]

Largest 10 diffraction maxima, sorted by position, 2θ = 5–70°:
2θ/deg  I_rel
13.35  39
13.47  100
19.41  30
22.59  18
23.30  33
23.50  21
27.86  23
30.48  35
31.59  22
33.98  21

=====

No. 11
The following is a simulated X-ray powder pattern of Rb3AsSe16. It was derived from the PBE geometry in the Materials Project, using CuKα.
Kinematic intensities with the Lorentz-polarization factor, no thermal factor.

Structure:
Cell: 17.1128 17.1128 17.1128 Å, 90.00 90.00 90.00°
Space group Fd-3 (No. 203, origin choice 2)
One atom of each set of equivalent atoms:
Rb: 0.0000 0.0000 0.0000 [16 per cell]
Rb: 0.1250 0.1250 0.6250 [8 per cell]
As: 0.1250 0.1250 0.1250 [8 per cell]
Se: 0.0071 0.1123 0.4317 [96 per cell]
Se: 0.0450 0.0450 0.2050 [32 per cell]

Largest 10 diffraction maxima, sorted by position, 2θ = 5–70°:
2θ/deg  I_rel
17.19  29
25.50  58
27.08  100
30.91  52
31.36  29
34.36  26
39.40  34
47.52  29
52.39  23
53.26  26